Starting from a PBE+U-relaxed structure, the powder diffractogram of NaVF3 was simulated for Cu Kα X-rays.

Structure:
abc: 5.8064 7.9855 5.5579
angles: 90.00 90.00 90.00
Space group Pnma (No. 62)
Symmetry-distinct sites (fractional):
Na1 0.0635 0.2500 0.0195
V1 0.0000 0.0000 0.5000
F1 0.0499 0.7500 0.3755
F2 0.1945 0.5634 0.8106

Principal peaks in the range 10 to 90 degrees two-theta, low angle first:
h k l	2theta	I/Imax
1 0 1	22.14	56
0 2 0	22.27	24
2 0 0	30.80	24
1 2 1	31.60	100
2 0 2	45.17	43
0 4 0	45.43	24
3 2 1	55.27	21
1 2 3	57.05	43